# 1
Li4CoO4: computed powder diffraction line list (Cu Kα), based on a DFT-relaxed cell (PBE+U, the Materials Project).
No peak broadening, texture or thermal motion is included.

Most intense lines, 2θ = 15–90°, sorted by position:
d (Å)  I_rel  (hkl)
5.108  52  0 1 1
4.220  100  1 1 1
3.748  21  2 0 0
3.559  17  1 0 -2
3.538  22  1 0 2
3.302  16  0 2 0
3.015  15  2 1 1
2.554  16  0 2 2

Structural model:
Unit cell a=7.4957 b=6.6049 c=8.0575 alpha=90.00 beta=90.39 gamma=90.00
Space group Pm (No. 6)
Inequivalent atoms, fractional coordinates:
Li  0.0000  0.0000  0.0000 [1 per cell]
Li  0.0148  0.5000  0.8533 [1 per cell]
Li  0.2238  0.2492  0.4053 [2 per cell]
Li  0.2580  0.2649  0.0651 [2 per cell]
Li  0.2669  0.2537  0.7223 [2 per cell]
Li  0.5027  0.0000  0.1196 [1 per cell]
Li  0.5420  0.0000  0.7368 [1 per cell]
Li  0.5681  0.5000  0.5658 [1 per cell]
Li  0.7195  0.2594  0.2220 [2 per cell]
Li  0.7627  0.2502  0.8960 [2 per cell]
Li  0.9462  0.5000  0.5219 [1 per cell]
Co  0.0107  0.0000  0.6841 [1 per cell]
Co  0.4843  0.0000  0.4295 [1 per cell]
Co  0.5140  0.5000  0.9242 [1 per cell]
Co  0.9882  0.5000  0.1791 [1 per cell]
O  0.0493  0.2413  0.5875 [2 per cell]
O  0.2033  0.0000  0.8423 [1 per cell]
O  0.2076  0.5000  0.2671 [1 per cell]
O  0.2824  0.5000  0.8576 [1 per cell]
O  0.2991  0.0000  0.2734 [1 per cell]
O  0.4565  0.2195  0.5610 [2 per cell]
O  0.5408  0.2644  0.0339 [2 per cell]
O  0.6783  0.0000  0.3058 [1 per cell]
O  0.7028  0.5000  0.7823 [1 per cell]
O  0.8033  0.0000  0.7979 [1 per cell]
O  0.8065  0.5000  0.3237 [1 per cell]
O  0.9703  0.2838  0.0428 [2 per cell]

# 2
Li8CoO6: computed powder diffraction line list (Cu Kα), based on a DFT-relaxed cell (PBE+U, the Materials Project).
No peak broadening, texture or thermal motion is included.

Most intense lines, 2θ = 15–90°, sorted by position:
d (Å)  I_rel  (hkl)
5.449  24  0 0 2
4.812  74  1 0 0
3.607  100  1 0 2
2.778  35  1 1 0
2.724  25  0 0 4
2.692  26  1 1 1
2.201  22  2 0 2
1.604  28  3 0 0

Structural model:
Unit cell a=5.5561 b=5.5561 c=10.8977 alpha=90.00 beta=90.00 gamma=120.00
Space group P6_3cm (No. 185)
Inequivalent atoms, fractional coordinates:
Li  0.0000  0.3125  0.0000 [6 per cell]
Li  0.0000  0.3886  0.3597 [6 per cell]
Li  0.3333  0.6667  0.1393 [4 per cell]
Co  0.0000  0.0000  0.2283 [2 per cell]
O  0.0000  0.0000  0.3978 [2 per cell]
O  0.0000  0.3095  0.1814 [6 per cell]
O  0.3333  0.6667  0.4490 [4 per cell]

# 3
Li2Co3O6: computed powder diffraction line list (Cu Kα), based on a DFT-relaxed cell (PBE+U, the Materials Project).
No peak broadening, texture or thermal motion is included.

Most intense lines, 2θ = 15–90°, sorted by position:
d (Å)  I_rel  (hkl)
4.913  100  0 0 2
2.417  16  1 2 1
2.406  8  2 1 0
2.318  15  2 1 2
2.038  8  1 -1 3
1.889  8  -1 1 3
1.880  16  2 1 4
1.410  9  3 3 1

Structural model:
Unit cell a=4.8776 b=4.8983 c=9.9605 alpha=85.11 beta=80.58 gamma=60.22
Space group P-1 (No. 2)
Inequivalent atoms, fractional coordinates:
Li  0.0826  0.1672  0.2527 [2 per cell]
Li  0.4158  0.4996  0.2559 [2 per cell]
Co  0.0000  0.5000  0.5000 [1 per cell]
Co  0.1667  0.1672  0.9922 [2 per cell]
Co  0.3338  0.8355  0.4996 [2 per cell]
Co  0.5000  0.5000  0.0000 [1 per cell]
O  0.0377  0.8324  0.3977 [2 per cell]
O  0.1438  0.4825  0.1036 [2 per cell]
O  0.1991  0.8169  0.8924 [2 per cell]
O  0.2970  0.5049  0.6013 [2 per cell]
O  0.3563  0.1770  0.3963 [2 per cell]
O  0.4504  0.8366  0.1043 [2 per cell]

# 4
LiCo2O4: computed powder diffraction line list (Cu Kα), based on a DFT-relaxed cell (PBE+U, the Materials Project).
No peak broadening, texture or thermal motion is included.

Most intense lines, 2θ = 15–90°, sorted by position:
d (Å)  I_rel  (hkl)
5.001  100  0 0 1
2.479  8  1 2 1
2.449  8  -1 2 1
2.218  16  1 2 2
2.206  15  1 -2 0
2.189  16  2 0 -1
1.757  17  1 2 3
1.743  12  2 0 -2

Structural model:
Unit cell a=4.8779 b=5.7110 c=5.7446 alpha=60.53 beta=89.41 gamma=89.21
Space group P-1 (No. 2)
Inequivalent atoms, fractional coordinates:
Li  0.2483  0.1550  0.4988 [2 per cell]
Co  0.2509  0.3848  0.9845 [2 per cell]
Co  0.2524  0.8428  0.0335 [2 per cell]
O  0.0733  0.7277  0.7993 [2 per cell]
O  0.0872  0.2259  0.7987 [2 per cell]
O  0.4114  0.4999  0.2140 [2 per cell]
O  0.4337  0.0413  0.1941 [2 per cell]

# 5
LiCo2O4: computed powder diffraction line list (Cu Kα), based on a DFT-relaxed cell (PBE+U, the Materials Project).
No peak broadening, texture or thermal motion is included.

Most intense lines, 2θ = 15–90°, sorted by position:
d (Å)  I_rel  (hkl)
4.935  100  2 0 0
2.454  21  0 2 1
2.406  10  2 0 -2
2.067  33  2 2 1
2.033  16  4 0 -2
1.613  10  4 2 1
1.483  9  6 2 -1
1.418  8  2 2 -3

Structural model:
Unit cell a=10.3769 b=5.7798 c=4.8814 alpha=90.00 beta=107.97 gamma=90.00
Space group C2 (No. 5)
Inequivalent atoms, fractional coordinates:
Li  0.2486  0.0000  0.4786 [4 per cell]
Co  0.0000  0.0023  0.0000 [2 per cell]
Co  0.0000  0.2478  0.5000 [2 per cell]
Co  0.0000  0.5075  0.0000 [2 per cell]
Co  0.0000  0.7536  0.5000 [2 per cell]
O  0.0972  0.0030  0.7277 [4 per cell]
O  0.0995  0.4968  0.7211 [4 per cell]
O  0.1040  0.2389  0.2458 [4 per cell]
O  0.1047  0.7683  0.2397 [4 per cell]

# 6
Li2Co3O6: computed powder diffraction line list (Cu Kα), based on a DFT-relaxed cell (PBE+U, the Materials Project).
No peak broadening, texture or thermal motion is included.

Most intense lines, 2θ = 15–90°, sorted by position:
d (Å)  I_rel  (hkl)
5.103  100  0 0 2
2.580  9  0 2 0
2.473  30  3 1 1
2.302  17  0 2 2
2.040  34  3 1 3
1.814  13  0 2 4
1.593  18  3 1 5
1.468  16  3 3 1

Structural model:
Unit cell a=8.7928 b=5.1597 c=10.2061 alpha=90.00 beta=90.00 gamma=90.00
Space group Cmce (No. 64)
Inequivalent atoms, fractional coordinates:
Li  0.2500  0.0963  0.2500 [8 per cell]
Co  0.0000  0.0000  0.0000 [4 per cell]
Co  0.1676  0.0000  0.5000 [8 per cell]
O  0.0000  0.1677  0.5916 [8 per cell]
O  0.1786  0.1527  0.8909 [16 per cell]